Structure and computed X-ray powder pattern of CrCdAu2 (a DFT-relaxed cell (GGA-PBE, Alexandria); Cu Kα, 1.54184 Å).
Peak positions follow from Bragg's law for the DFT cell and can differ from measured ones.

```
4
Lattice="-2.0673 2.0673 4.2240 2.0673 -2.0673 4.2240 2.0673 2.0673 -4.2240" Properties=species:S:1:pos:R:3 pbc="T T T"
Cr 0.0000 0.0000 0.0000
Cd 2.0673 0.0000 2.1120
Au 0.0000 0.0000 4.2240
Au 0.0000 2.0673 2.1120
```

Largest 10 diffraction maxima, in order of rising 2θ, 10 to 90 degrees two-theta:
2θ/deg	d [Å]	I/Imax
23.96	3.714	26
37.41	2.404	100
38.69	2.327	8
42.82	2.112	17
43.79	2.067	32
62.91	1.477	22
63.66	1.462	10
74.85	1.269	13
76.23	1.249	25
79.79	1.202	11